# LaGa3Pt2
Theoretical PXRD pattern, Cu Kα (weighted mean of Kα1 and Kα2). Input: the PBE geometry in Alexandria.
No peak broadening, texture or thermal motion is included.

Most intense lines, 10 to 90 degrees two-theta, by angle:
14.39 deg, rel. 493
29.99 deg, rel. 560
35.53 deg, rel. 1000
38.51 deg, rel. 465
44.14 deg, rel. 122
49.72 deg, rel. 278
52.49 deg, rel. 367
64.99 deg, rel. 193
70.95 deg, rel. 179
88.19 deg, rel. 163

Crystal structure
Unit cell a=7.355 b=7.355 c=7.355 alpha=56.59 beta=56.59 gamma=56.59
Positions (direct):
La  0.218  0.218  0.218
La  0.782  0.782  0.782
Ga  0.260  0.738  0.738
Ga  0.262  0.262  0.740
Ga  0.262  0.740  0.262
Ga  0.738  0.260  0.738
Ga  0.738  0.738  0.260
Ga  0.740  0.262  0.262
Pt  0.000  0.000  0.000
Pt  0.000  0.500  0.500
Pt  0.500  0.000  0.500
Pt  0.500  0.500  0.000